# 1
Computed powder X-ray diffraction pattern of HfVGa3 for Cu Kα (λ = 1.5418 Å), from the PBE geometry in Alexandria.
No peak broadening, texture or thermal motion is included.

Atomic structure:
Unit cell a=3.9495 b=6.2735 c=6.9061 alpha=90.00 beta=90.00 gamma=90.00
Atoms (fractional coordinates):
Hf1 0.2500 0.2500 0.2160
Hf2 0.7500 0.7500 0.7840
V1 0.2500 0.7500 0.4698
V2 0.7500 0.2500 0.5302
Ga1 0.2500 0.0506 0.7150
Ga2 0.2500 0.4494 0.7150
Ga3 0.2500 0.7500 0.0791
Ga4 0.7500 0.2500 0.9209
Ga5 0.7500 0.5506 0.2850
Ga6 0.7500 0.9494 0.2850

Principal peaks in the range 2θ = 5–70°, most intense first:
2.314 Å, I 100; 2.402 Å, I 84; 3.453 Å, I 28; 1.975 Å, I 28; 2.001 Å, I 20; 2.600 Å, I 20; 4.644 Å, I 18; 3.137 Å, I 17; 2.161 Å, I 16; 1.548 Å, I 14; 3.342 Å, I 11; 1.406 Å, I 11


# 2
Computed powder X-ray diffraction pattern of Hf5ZnGa2 for Cu Kα (λ = 1.5418 Å), from the PBE geometry in Alexandria.
No peak broadening, texture or thermal motion is included.

Atomic structure:
Unit cell a=5.5555 b=5.5555 c=15.1102 alpha=90.00 beta=90.00 gamma=137.55
Atoms (fractional coordinates):
Hf1 0.0428 0.9572 0.5967
Hf2 0.0428 0.9572 0.9033
Hf3 0.3482 0.6518 0.5376
Hf4 0.3482 0.6518 0.9624
Hf5 0.4441 0.5559 0.7500
Hf6 0.5559 0.4441 0.2500
Hf7 0.6518 0.3482 0.0376
Hf8 0.6518 0.3482 0.4624
Hf9 0.9572 0.0428 0.0967
Hf10 0.9572 0.0428 0.4033
Zn1 0.1740 0.8260 0.7500
Zn2 0.8260 0.1740 0.2500
Ga1 0.2440 0.7560 0.1534
Ga2 0.2440 0.7560 0.3466
Ga3 0.7560 0.2440 0.6534
Ga4 0.7560 0.2440 0.8466

Principal peaks in the range 2θ = 5–70°, most intense first:
2.661 Å, I 100; 2.475 Å, I 94; 2.353 Å, I 80; 2.581 Å, I 65; 2.303 Å, I 60; 1.401 Å, I 58; 2.011 Å, I 51; 1.515 Å, I 33; 2.265 Å, I 31; 2.620 Å, I 30; 7.555 Å, I 21; 2.610 Å, I 20


# 3
Computed powder X-ray diffraction pattern of Hf3ZnGa2 for Cu Kα (λ = 1.5418 Å), from the PBE geometry in Alexandria.
No peak broadening, texture or thermal motion is included.

Atomic structure:
Unit cell a=7.7895 b=7.7895 c=5.5947 alpha=101.34 beta=101.34 gamma=42.36
Atoms (fractional coordinates):
Hf1 0.1366 0.8634 0.7500
Hf2 0.2124 0.4472 0.4036
Hf3 0.4472 0.2124 0.9036
Hf4 0.5528 0.7876 0.0964
Hf5 0.7876 0.5528 0.5964
Hf6 0.8634 0.1366 0.2500
Zn1 0.3709 0.6291 0.2500
Zn2 0.6291 0.3709 0.7500
Ga1 0.0467 0.2765 0.0442
Ga2 0.2765 0.0467 0.5442
Ga3 0.7235 0.9533 0.4558
Ga4 0.9533 0.7235 0.9558

Principal peaks in the range 2θ = 5–70°, most intense first:
2.503 Å, I 100; 2.428 Å, I 87; 2.367 Å, I 82; 2.388 Å, I 79; 2.292 Å, I 65; 2.145 Å, I 58; 3.623 Å, I 42; 1.809 Å, I 30; 1.386 Å, I 27; 1.642 Å, I 24; 2.818 Å, I 22; 1.553 Å, I 20


# 4
Computed powder X-ray diffraction pattern of Hf2Zr2ZnGa4 for Cu Kα (λ = 1.5418 Å), from the PBE geometry in Alexandria.
No peak broadening, texture or thermal motion is included.

Atomic structure:
Unit cell a=6.3083 b=6.3083 c=6.3083 alpha=120.89 beta=120.89 gamma=88.47
Atoms (fractional coordinates):
Hf1 0.2500 0.7500 0.5000
Hf2 0.7500 0.2500 0.5000
Zr1 0.2189 0.2189 0.0000
Zr2 0.7811 0.7811 0.0000
Zn1 0.5000 0.5000 0.0000
Ga1 0.2299 0.2299 0.4597
Ga2 0.2299 0.7701 0.0000
Ga3 0.7701 0.2299 0.0000
Ga4 0.7701 0.7701 0.5403

Principal peaks in the range 2θ = 5–70°, most intense first:
2.563 Å, I 100; 2.200 Å, I 46; 1.577 Å, I 28; 2.260 Å, I 23; 3.153 Å, I 21; 3.112 Å, I 16; 1.556 Å, I 15; 1.356 Å, I 10; 2.045 Å, I 8; 1.804 Å, I 7; 1.829 Å, I 5; 4.520 Å, I 5


# 5
Computed powder X-ray diffraction pattern of Hf5Zr5Ga6 for Cu Kα (λ = 1.5418 Å), from the PBE geometry in Alexandria.
No peak broadening, texture or thermal motion is included.

Atomic structure:
Unit cell a=5.7433 b=8.0479 c=8.0479 alpha=119.76 beta=90.00 gamma=90.00
Atoms (fractional coordinates):
Hf1 0.0000 0.0000 0.0000
Hf2 0.2499 0.0879 0.4220
Hf3 0.2499 0.4220 0.0879
Hf4 0.7501 0.0879 0.4220
Hf5 0.7501 0.4220 0.0879
Zr1 0.0000 0.5141 0.7552
Zr2 0.0000 0.7552 0.5141
Zr3 0.5000 0.5104 0.5104
Zr4 0.5000 0.7554 0.9962
Zr5 0.5000 0.9962 0.7554
Ga1 0.0000 0.1491 0.7560
Ga2 0.0000 0.3603 0.3603
Ga3 0.0000 0.7560 0.1491
Ga4 0.5000 0.1492 0.1492
Ga5 0.5000 0.3604 0.7547
Ga6 0.5000 0.7547 0.3604

Principal peaks in the range 2θ = 5–70°, most intense first:
2.338 Å, I 100; 2.399 Å, I 46; 2.329 Å, I 33; 2.655 Å, I 31; 2.640 Å, I 30; 6.982 Å, I 27; 2.393 Å, I 26; 1.648 Å, I 20; 2.320 Å, I 19; 1.549 Å, I 18; 4.027 Å, I 17; 3.491 Å, I 15


# 6
Computed powder X-ray diffraction pattern of Hf8ZrGa2 for Cu Kα (λ = 1.5418 Å), from the PBE geometry in Alexandria.
No peak broadening, texture or thermal motion is included.

Atomic structure:
Unit cell a=7.5586 b=7.5586 c=5.1544 alpha=102.26 beta=102.26 gamma=116.96
Atoms (fractional coordinates):
Hf1 0.0905 0.3225 0.6083
Hf2 0.2248 0.7752 0.0000
Hf3 0.3225 0.0905 0.6083
Hf4 0.4026 0.4026 0.1906
Hf5 0.5974 0.5974 0.8094
Hf6 0.6775 0.9095 0.3917
Hf7 0.7752 0.2248 0.0000
Hf8 0.9095 0.6775 0.3917
Zr1 0.0000 0.0000 0.0000
Ga1 0.3042 0.6958 0.5000
Ga2 0.6958 0.3042 0.5000

Principal peaks in the range 2θ = 5–70°, most intense first:
2.565 Å, I 100; 2.659 Å, I 98; 2.404 Å, I 90; 2.518 Å, I 78; 2.429 Å, I 74; 2.289 Å, I 73; 2.651 Å, I 40; 2.321 Å, I 27; 3.692 Å, I 26; 3.193 Å, I 20; 2.212 Å, I 20; 1.596 Å, I 20


# 7
Computed powder X-ray diffraction pattern of GaHg5 for Cu Kα (λ = 1.5418 Å), from the PBE geometry in Alexandria.
No peak broadening, texture or thermal motion is included.

Atomic structure:
Unit cell a=3.7247 b=3.7247 c=13.1836 alpha=90.00 beta=90.00 gamma=120.00
Atoms (fractional coordinates):
Ga1 0.0000 0.0000 0.0000
Hg1 0.0000 0.0000 0.3251
Hg2 0.0000 0.0000 0.6749
Hg3 0.6667 0.3333 0.1520
Hg4 0.6667 0.3333 0.5000
Hg5 0.6667 0.3333 0.8480

Principal peaks in the range 2θ = 5–70°, most intense first:
2.600 Å, I 100; 3.226 Å, I 32; 1.862 Å, I 26; 1.514 Å, I 19; 1.421 Å, I 19; 2.197 Å, I 12; 1.816 Å, I 11; 2.897 Å, I 7; 1.468 Å, I 5; 1.613 Å, I 4; 13.184 Å, I 4; 1.521 Å, I 4


# 8
Computed powder X-ray diffraction pattern of Ga3Hg for Cu Kα (λ = 1.5418 Å), from the PBE geometry in Alexandria.
No peak broadening, texture or thermal motion is included.

Atomic structure:
Unit cell a=5.6258 b=5.6258 c=6.8235 alpha=90.00 beta=90.00 gamma=128.46
Atoms (fractional coordinates):
Ga1 0.1295 0.8705 0.5504
Ga2 0.1295 0.8705 0.9496
Ga3 0.2998 0.7002 0.2500
Ga4 0.7002 0.2998 0.7500
Ga5 0.8705 0.1295 0.0504
Ga6 0.8705 0.1295 0.4496
Hg1 0.4212 0.5788 0.7500
Hg2 0.5788 0.4212 0.2500

Principal peaks in the range 2θ = 5–70°, most intense first:
2.697 Å, I 100; 2.574 Å, I 83; 2.446 Å, I 43; 1.704 Å, I 30; 2.375 Å, I 30; 4.405 Å, I 20; 2.075 Å, I 18; 1.760 Å, I 18; 1.582 Å, I 15; 1.456 Å, I 15; 3.412 Å, I 14; 1.436 Å, I 14


# 9
Computed powder X-ray diffraction pattern of GaHg12 for Cu Kα (λ = 1.5418 Å), from the PBE geometry in Alexandria.
No peak broadening, texture or thermal motion is included.

Atomic structure:
Unit cell a=7.7248 b=7.7248 c=7.7248 alpha=109.47 beta=109.47 gamma=109.47
Atoms (fractional coordinates):
Ga1 0.0000 0.0000 0.0000
Hg1 0.1406 0.3194 0.8211
Hg2 0.1789 0.4983 0.3194
Hg3 0.1789 0.8594 0.6806
Hg4 0.3194 0.1789 0.4983
Hg5 0.3194 0.8211 0.1406
Hg6 0.4983 0.3194 0.1789
Hg7 0.5017 0.6806 0.8211
Hg8 0.6806 0.1789 0.8594
Hg9 0.6806 0.8211 0.5017
Hg10 0.8211 0.1406 0.3194
Hg11 0.8211 0.5017 0.6806
Hg12 0.8594 0.6806 0.1789

Principal peaks in the range 2θ = 5–70°, most intense first:
2.821 Å, I 100; 2.384 Å, I 61; 1.530 Å, I 35; 1.447 Å, I 25; 2.575 Å, I 20; 3.154 Å, I 18; 1.487 Å, I 15; 1.902 Å, I 10; 1.749 Å, I 10; 2.102 Å, I 7; 1.821 Å, I 7; 1.995 Å, I 7


# 10
Computed powder X-ray diffraction pattern of Ga11Hg3 for Cu Kα (λ = 1.5418 Å), from the PBE geometry in Alexandria.
No peak broadening, texture or thermal motion is included.

Atomic structure:
Unit cell a=8.7434 b=8.7434 c=8.7434 alpha=152.25 beta=108.47 gamma=78.36
Atoms (fractional coordinates):
Ga1 0.0000 0.0000 0.0000
Ga2 0.0337 0.8402 0.1936
Ga3 0.1722 0.5000 0.6722
Ga4 0.2334 0.3637 0.8697
Ga5 0.3534 0.1598 0.1936
Ga6 0.4941 0.3637 0.1303
Ga7 0.5059 0.6363 0.8697
Ga8 0.6466 0.8402 0.8064
Ga9 0.7666 0.6363 0.1303
Ga10 0.8278 0.5000 0.3278
Ga11 0.9663 0.1598 0.8064
Hg1 0.2165 0.7165 0.5000
Hg2 0.5000 0.0000 0.5000
Hg3 0.7835 0.2835 0.5000

Principal peaks in the range 2θ = 5–70°, most intense first:
2.634 Å, I 100; 2.552 Å, I 80; 2.644 Å, I 60; 2.097 Å, I 40; 2.824 Å, I 37; 2.463 Å, I 36; 1.448 Å, I 27; 1.683 Å, I 25; 5.110 Å, I 23; 1.662 Å, I 23; 2.040 Å, I 20; 2.154 Å, I 19


# 11
Computed powder X-ray diffraction pattern of Ga2Hg13 for Cu Kα (λ = 1.5418 Å), from the PBE geometry in Alexandria.
No peak broadening, texture or thermal motion is included.

Atomic structure:
Unit cell a=8.0746 b=8.0746 c=8.0746 alpha=65.36 beta=65.36 gamma=65.36
Atoms (fractional coordinates):
Ga1 0.1508 0.1508 0.1508
Ga2 0.8492 0.8492 0.8492
Hg1 0.0000 0.0000 0.0000
Hg2 0.1295 0.1295 0.5244
Hg3 0.1295 0.5244 0.1295
Hg4 0.3057 0.3057 0.6715
Hg5 0.3057 0.6715 0.3057
Hg6 0.3285 0.6943 0.6943
Hg7 0.4756 0.8705 0.8705
Hg8 0.5244 0.1295 0.1295
Hg9 0.6715 0.3057 0.3057
Hg10 0.6943 0.3285 0.6943
Hg11 0.6943 0.6943 0.3285
Hg12 0.8705 0.4756 0.8705
Hg13 0.8705 0.8705 0.4756

Principal peaks in the range 2θ = 5–70°, most intense first:
2.822 Å, I 100; 2.674 Å, I 45; 1.968 Å, I 38; 3.157 Å, I 35; 2.733 Å, I 23; 1.459 Å, I 22; 2.279 Å, I 21; 1.505 Å, I 17; 2.180 Å, I 17; 2.547 Å, I 17; 2.557 Å, I 15; 1.453 Å, I 14


# 12
Computed powder X-ray diffraction pattern of Ho5GaHg2 for Cu Kα (λ = 1.5418 Å), from the PBE geometry in Alexandria.
No peak broadening, texture or thermal motion is included.

Atomic structure:
Unit cell a=9.1765 b=9.1765 c=9.1765 alpha=130.96 beta=130.96 gamma=71.88
Atoms (fractional coordinates):
Ho1 0.0000 0.0000 0.0000
Ho2 0.0093 0.5093 0.8294
Ho3 0.1799 0.0093 0.5000
Ho4 0.3201 0.8201 0.8294
Ho5 0.4907 0.3201 0.5000
Ho6 0.5000 0.5000 0.0000
Ho7 0.5093 0.6799 0.5000
Ho8 0.6799 0.1799 0.1706
Ho9 0.8201 0.9907 0.5000
Ho10 0.9907 0.4907 0.1706
Ga1 0.2500 0.2500 0.0000
Ga2 0.7500 0.7500 0.0000
Hg1 0.1338 0.3662 0.5000
Hg2 0.3662 0.8662 0.2323
Hg3 0.6338 0.1338 0.7677
Hg4 0.8662 0.6338 0.5000

Principal peaks in the range 2θ = 5–70°, most intense first:
2.807 Å, I 100; 2.409 Å, I 34; 2.477 Å, I 17; 1.727 Å, I 15; 1.360 Å, I 13; 2.659 Å, I 12; 1.486 Å, I 12; 7.430 Å, I 12; 1.731 Å, I 11; 1.454 Å, I 7; 2.693 Å, I 6; 1.386 Å, I 5


# 13
Computed powder X-ray diffraction pattern of Ho4Ga2Hg5 for Cu Kα (λ = 1.5418 Å), from the PBE geometry in Alexandria.
No peak broadening, texture or thermal motion is included.

Atomic structure:
Unit cell a=7.7150 b=3.7090 c=9.2980 alpha=90.00 beta=92.66 gamma=90.00
Atoms (fractional coordinates):
Ho1 0.1943 0.0000 0.3626
Ho2 0.2469 0.0000 0.9194
Ho3 0.7531 0.0000 0.0806
Ho4 0.8057 0.0000 0.6374
Ga1 0.0662 0.5000 0.1267
Ga2 0.9338 0.5000 0.8733
Hg1 0.1480 0.5000 0.6366
Hg2 0.4406 0.5000 0.1691
Hg3 0.5000 0.5000 0.5000
Hg4 0.5594 0.5000 0.8309
Hg5 0.8520 0.5000 0.3634

Principal peaks in the range 2θ = 5–70°, most intense first:
2.687 Å, I 100; 2.739 Å, I 95; 2.672 Å, I 89; 2.828 Å, I 54; 2.546 Å, I 47; 2.294 Å, I 46; 1.855 Å, I 45; 2.251 Å, I 37; 2.569 Å, I 37; 1.416 Å, I 34; 1.503 Å, I 30; 2.506 Å, I 28